Structure and theoretical X-ray powder pattern of NbH2 (DFT lattice parameters and positions (PBE); Cu Kα, 1.54184 Å).
Intensities are scaled so that the largest is 100.

Lattice parameters (Å, degrees): 4.575 4.575 4.575 90.00 90.00 90.00
Space group Fm-3m (No. 225)
Unique sites:
Nb (0.000, 0.000, 0.000) [4 per cell]
H (0.250, 0.250, 0.250) [8 per cell]

Peak list (6 most intense, 2θ = 15–90°, low angle first)
33.94 deg, rel. 100, hkl 1 1 1
39.39 deg, rel. 47, hkl 2 0 0
56.93 deg, rel. 34, hkl 2 2 0
67.96 deg, rel. 38, hkl 3 1 1
71.43 deg, rel. 11, hkl 2 2 2
84.76 deg, rel. 5, hkl 4 0 0